Simulated X-ray diffraction stick pattern
Compound: Np4SeS6
Radiation: copper Kα
Structure: a structure optimized by DFT (GGA-PBE)
Kinematic intensities with the Lorentz-polarization factor, no thermal factor.

Peak list (10 most intense, 15 to 90 degrees two-theta, by intensity)
Position (°2θ)  d/Å  I_rel  hkl
24.93  3.572  100  2 2 -1
24.40  3.647  70  0 2 1
43.30  2.090  55  2 2 -3
24.80  3.590  33  2 0 0
34.71  2.585  25  0 0 2
34.86  2.574  25  0 4 0
40.37  2.234  20  4 2 -2
17.88  4.962  20  2 0 -1
43.12  2.098  19  2 2 1
44.06  2.055  18  4 2 -1

Structural model:
Lattice parameters (Å, degrees): 9.924 10.295 7.146 90.00 133.66 90.00
Space group Cm (No. 8)
Asymmetric unit:
Np  0.000  0.000  0.000 x2
Np  0.037  0.500  0.078 x2
Np  0.463  0.269  0.539 x4
Se  0.364  0.000  0.536 x2
S  0.124  0.250  0.041 x4
S  0.169  0.000  0.822 x2
S  0.206  0.354  0.543 x4
S  0.382  0.500  0.246 x2



Simulated X-ray diffraction stick pattern
Compound: SmNpS4
Radiation: copper Kα
Structure: a structure optimized by DFT (GGA-PBE)
Kinematic intensities with the Lorentz-polarization factor, no thermal factor.

Peak list (10 most intense, 15 to 90 degrees two-theta, by intensity)
Position (°2θ)  d/Å  I_rel  hkl
25.78  3.456  100  1 1 1
19.75  4.495  69  0 2 0
20.06  4.425  62  2 0 0
38.48  2.339  57  1 3 1
48.57  1.875  52  3 3 1
38.82  2.320  50  3 1 1
28.30  3.153  27  2 2 0
65.21  1.431  19  5 3 1
64.80  1.439  17  3 5 1
40.78  2.213  15  4 0 0

Structural model:
Lattice parameters (Å, degrees): 8.851 8.990 4.132 90.00 90.00 90.00
Space group Cmmm (No. 65)
Asymmetric unit:
Sm  0.000  0.000  0.000 x2
Np  0.000  0.500  0.500 x2
S  0.000  0.316  0.000 x4
S  0.208  0.000  0.500 x4



Simulated X-ray diffraction stick pattern
Compound: SrNpS3
Radiation: copper Kα
Structure: a structure optimized by DFT (GGA-PBE)
Kinematic intensities with the Lorentz-polarization factor, no thermal factor.

Peak list (10 most intense, 15 to 90 degrees two-theta, by intensity)
Position (°2θ)  d/Å  I_rel  hkl
22.18  4.007  100  1 1 1
25.41  3.505  49  4 0 0
23.85  3.731  44  2 0 -2
27.19  3.280  35  3 1 -1
39.74  2.268  35  5 1 1
35.60  2.522  31  0 2 0
37.66  2.388  31  1 1 -3
18.70  4.746  31  1 1 0
44.24  2.047  22  4 2 0
43.30  2.089  19  2 2 -2

Structural model:
Lattice parameters (Å, degrees): 14.164 5.044 8.146 90.00 98.16 90.00
Space group C2/m (No. 12)
Asymmetric unit:
Sr  0.137  0.000  0.366 x4
Np  0.133  0.500  0.916 x4
S  0.054  0.500  0.197 x4
S  0.159  0.500  0.605 x4
S  0.171  0.000  0.990 x4



Simulated X-ray diffraction stick pattern
Compound: Sr2Np4S9
Radiation: copper Kα
Structure: a structure optimized by DFT (GGA-PBE)
Kinematic intensities with the Lorentz-polarization factor, no thermal factor.

Peak list (10 most intense, 15 to 90 degrees two-theta, by intensity)
Position (°2θ)  d/Å  I_rel  hkl
25.11  3.547  100  1 1 0
23.67  3.759  95  0 1 4
38.09  2.363  77  2 -1 6
43.37  2.086  47  3 -2 4
34.78  2.580  45  2 0 4
44.23  2.048  43  3 0 0
17.19  5.159  42  1 0 2
50.25  1.816  24  0 1 10
63.23  1.471  20  1 2 10
59.76  1.547  19  2 2 6

Structural model:
Lattice parameters (Å, degrees): 7.0935 7.0935 19.0064 90.00 90.00 120.00
Space group P-3 (No. 147)
Asymmetric unit:
Sr  0.0000  0.0000  0.1442 x2
Sr  0.0000  0.0000  0.3554 x2
Np  0.3333  0.6667  0.1834 x2
Np  0.3333  0.6667  0.4873 x2
Np  0.3333  0.6667  0.6864 x2
Np  0.3333  0.6667  0.9853 x2
S  0.0008  0.3201  0.2493 x6
S  0.0296  0.3997  0.5821 x6
S  0.0327  0.6329  0.0816 x6



Simulated X-ray diffraction stick pattern
Compound: Sr2YNpS6
Radiation: copper Kα
Structure: a structure optimized by DFT (GGA-PBE)
Kinematic intensities with the Lorentz-polarization factor, no thermal factor.

Peak list (10 most intense, 15 to 90 degrees two-theta, by intensity)
Position (°2θ)  d/Å  I_rel  hkl
24.87  3.579  100  1 1 1
17.51  5.066  39  1 1 -1
44.76  2.025  34  3 1 -1
35.41  2.535  29  2 2 -2
25.65  3.473  24  2 0 -2
23.99  3.710  22  0 2 0
39.75  2.268  21  2 2 0
35.52  2.527  20  0 0 4
15.48  5.723  18  1 0 -2
51.02  1.790  17  2 2 2

Structural model:
Lattice parameters (Å, degrees): 6.944 7.420 12.258 90.00 124.45 90.00
Space group P2_1/c (No. 14)
Asymmetric unit:
Sr  0.223  0.080  0.249 x4
Y  0.000  0.000  0.500 x2
Np  0.500  0.000  0.000 x2
S  0.140  0.190  0.942 x4
S  0.255  0.702  0.940 x4
S  0.368  0.035  0.756 x4



Simulated X-ray diffraction stick pattern
Compound: Np5Ta2S12
Radiation: copper Kα
Structure: a structure optimized by DFT (GGA-PBE)
Kinematic intensities with the Lorentz-polarization factor, no thermal factor.

Peak list (10 most intense, 15 to 90 degrees two-theta, by intensity)
Position (°2θ)  d/Å  I_rel  hkl
22.34  3.979  100  3 1 0
24.71  3.603  100  1 1 -2
36.77  2.444  35  6 0 0
34.21  2.621  34  0 2 2
45.10  2.010  33  1 3 -2
42.68  2.118  33  2 0 -4
27.97  3.190  32  2 0 2
27.76  3.213  32  4 0 -2
43.75  2.069  31  3 3 0
45.91  1.977  22  6 2 -2

Structural model:
Lattice parameters (Å, degrees): 15.296 6.852 8.473 90.00 106.51 90.00
Space group C2/m (No. 12)
Asymmetric unit:
Np  0.000  0.000  0.000 x2
Np  0.185  0.500  0.339 x4
Np  0.196  0.500  0.849 x4
Ta  0.000  0.285  0.500 x4
S  0.000  0.000  0.312 x4
S  0.003  0.500  0.738 x4
S  0.153  0.246  0.072 x8
S  0.167  0.248  0.585 x8



Simulated X-ray diffraction stick pattern
Compound: TbNp6S8
Radiation: copper Kα
Structure: a structure optimized by DFT (GGA-PBE)
Kinematic intensities with the Lorentz-polarization factor, no thermal factor.

Peak list (10 most intense, 15 to 90 degrees two-theta, by intensity)
Position (°2θ)  d/Å  I_rel  hkl
32.39  2.764  100  4 0 0
27.96  3.191  95  2 2 2
46.47  1.954  74  4 4 0
55.11  1.667  48  6 2 2
77.18  1.236  34  8 4 0
86.20  1.128  26  8 4 4
57.78  1.596  26  4 4 4
74.88  1.268  20  6 6 2
16.03  5.527  15  2 0 0
22.75  3.908  13  2 2 0

Structural model:
Lattice parameters (Å, degrees): 11.055 11.055 11.055 90.00 90.00 90.00
Space group Fm-3m (No. 225)
Asymmetric unit:
Tb  0.000  0.000  0.000 x4
Np  0.000  0.250  0.250 x24
S  0.000  0.000  0.251 x24
S  0.250  0.250  0.250 x8



Simulated X-ray diffraction stick pattern
Compound: TbNp4S7
Radiation: copper Kα
Structure: a structure optimized by DFT (GGA-PBE)
Kinematic intensities with the Lorentz-polarization factor, no thermal factor.

Peak list (10 most intense, 15 to 90 degrees two-theta, by intensity)
Position (°2θ)  d/Å  I_rel  hkl
23.99  3.709  100  2 0 2
24.57  3.623  93  2 0 -3
27.34  3.262  54  4 0 -1
33.97  2.639  50  3 1 1
32.85  2.726  49  3 1 -2
26.10  3.414  41  1 1 1
42.32  2.136  39  1 1 4
31.14  2.872  36  3 1 -1
28.09  3.177  35  1 1 -2
24.18  3.680  32  1 1 0

Structural model:
Lattice parameters (Å, degrees): 13.053 3.845 11.470 90.00 105.07 90.00
Space group Cm (No. 8)
Asymmetric unit:
Tb  0.000  0.000  0.000 x2
Np  0.118  0.000  0.425 x2
Np  0.232  0.000  0.848 x2
Np  0.318  0.500  0.242 x2
Np  0.419  0.000  0.612 x2
S  0.074  0.000  0.642 x2
S  0.115  0.500  0.922 x2
S  0.160  0.000  0.207 x2
S  0.274  0.500  0.476 x2
S  0.351  0.500  0.772 x2
S  0.380  0.000  0.076 x2
S  0.462  0.000  0.374 x2



Simulated X-ray diffraction stick pattern
Compound: Tb4Np3S8
Radiation: copper Kα
Structure: a structure optimized by DFT (GGA-PBE)
Kinematic intensities with the Lorentz-polarization factor, no thermal factor.

Peak list (10 most intense, 15 to 90 degrees two-theta, by intensity)
Position (°2θ)  d/Å  I_rel  hkl
32.32  2.770  100  0 4 0
27.89  3.198  84  2 2 0
46.36  1.959  73  4 0 0
54.96  1.671  35  2 6 0
57.64  1.599  25  4 4 0
77.00  1.238  19  0 8 2
15.99  5.543  14  0 0 1
85.91  1.131  13  4 8 0
86.00  1.130  13  8 4 -6
22.71  3.916  13  2 2 -1

Structural model:
Lattice parameters (Å, degrees): 11.071 11.078 7.829 90.00 134.91 90.00
Space group C2/m (No. 12)
Asymmetric unit:
Tb  0.000  0.000  0.000 x2
Tb  0.000  0.000  0.500 x2
Tb  0.250  0.250  0.000 x4
Np  0.000  0.500  0.500 x2
Np  0.250  0.250  0.500 x4
S  0.000  0.251  0.000 x4
S  0.000  0.251  0.500 x4
S  0.249  0.500  0.500 x4
S  0.250  0.000  0.998 x4



Simulated X-ray diffraction stick pattern
Compound: Tb3NpS4
Radiation: copper Kα
Structure: a structure optimized by DFT (GGA-PBE)
Kinematic intensities with the Lorentz-polarization factor, no thermal factor.

Peak list (10 most intense, 15 to 90 degrees two-theta, by intensity)
Position (°2θ)  d/Å  I_rel  hkl
32.30  2.771  100  0 1 8
27.83  3.206  67  1 0 4
46.20  1.965  37  1 1 0
46.46  1.954  36  1 0 16
28.03  3.183  22  0 0 12
54.91  1.672  22  1 1 12
57.50  1.603  19  2 0 8
76.73  1.242  16  1 2 8
77.12  1.237  16  1 1 24
85.81  1.132  13  2 1 16

Structural model:
Lattice parameters (Å, degrees): 3.9297 3.9297 38.1983 90.00 90.00 120.00
Space group R-3m (No. 166, hexagonal axes)
Asymmetric unit:
Tb  0.0000  0.0000  0.0000 x3
Tb  0.0000  0.0000  0.2486 x6
Np  0.0000  0.0000  0.5000 x3
S  0.0000  0.0000  0.1257 x6
S  0.0000  0.0000  0.3752 x6



Simulated X-ray diffraction stick pattern
Compound: TbTmNp2S4
Radiation: copper Kα
Structure: a structure optimized by DFT (GGA-PBE)
Kinematic intensities with the Lorentz-polarization factor, no thermal factor.

Peak list (10 most intense, 15 to 90 degrees two-theta, by intensity)
Position (°2θ)  d/Å  I_rel  hkl
32.49  2.756  100  1 1 1
28.04  3.183  96  2 0 0
46.55  1.951  37  2 0 2
46.65  1.947  36  0 2 0
55.24  1.663  28  3 1 1
55.31  1.661  20  2 2 0
86.55  1.125  19  5 1 1
58.00  1.590  19  4 0 0
77.36  1.234  17  3 1 3
77.50  1.232  17  4 2 0

Structural model:
Lattice parameters (Å, degrees): 6.744 3.894 6.762 90.00 109.40 90.00
Space group P2/m (No. 10)
Asymmetric unit:
Tb  0.000  0.000  0.000 x1
Tm  0.000  0.500  0.500 x1
Np  0.500  0.000  0.500 x1
Np  0.500  0.500  0.000 x1
S  0.246  0.000  0.745 x2
S  0.249  0.500  0.253 x2



Simulated X-ray diffraction stick pattern
Compound: TmNp2Te2S2
Radiation: copper Kα
Structure: a structure optimized by DFT (GGA-PBE)
Kinematic intensities with the Lorentz-polarization factor, no thermal factor.

Peak list (10 most intense, 15 to 90 degrees two-theta, by intensity)
Position (°2θ)  d/Å  I_rel  hkl
25.13  3.544  100  1 1 0
33.63  2.665  98  1 0 5
49.96  1.826  65  2 1 5
35.83  2.506  55  2 0 0
58.21  1.585  21  3 1 0
74.64  1.272  20  3 2 5
51.58  1.772  19  2 2 0
34.05  2.633  17  1 1 4
62.99  1.476  16  3 0 5
85.67  1.134  14  4 1 5

Structural model:
Lattice parameters (Å, degrees): 5.012 5.012 15.734 90.00 90.00 90.00
Space group I4/mmm (No. 139)
Asymmetric unit:
Tm  0.000  0.000  0.000 x2
Np  0.000  0.000  0.387 x4
Te  0.000  0.000  0.187 x4
S  0.000  0.500  0.000 x4